Calculated XRD peak list
Compound: YCo2B4Rh2
Radiation: CuKα
Structure: a crystal structure in the Materials Project, relaxed with GGA-PBE
No peak broadening, texture or thermal motion is included.

The 12 most intense peaks (10° ≤ 2θ ≤ 90°), low angle first:
two_theta	d [Å]	I (rel.)
30.0	2.975	52
36.6	2.455	96
40.6	2.221	100
41.2	2.191	70
46.3	1.962	44
49.4	1.845	22
65.8	1.419	22
66.2	1.411	17
72.4	1.305	19
73.3	1.292	32
75.0	1.266	17
84.0	1.152	19

Structure:
```
YCo2B4Rh2
1.0
5.2190 0.0000 0.0000
0.0000 5.2190 0.0000
0.0000 0.0000 7.2405
Y Co B Rh
2 4 8 4
direct
0.0000 0.5000 0.0000 Y
0.5000 0.0000 0.5000 Y
0.0000 0.2520 0.3508 Co
0.0000 0.7480 0.3508 Co
0.2520 0.0000 0.8508 Co
0.7480 0.0000 0.8508 Co
0.0000 0.1641 0.6483 B
0.0000 0.8359 0.6483 B
0.1641 0.0000 0.1483 B
0.3165 0.5000 0.3378 B
0.5000 0.3165 0.8378 B
0.5000 0.6835 0.8378 B
0.6835 0.5000 0.3378 B
0.8359 0.0000 0.1483 B
0.2470 0.5000 0.6340 Rh
0.5000 0.2470 0.1340 Rh
0.5000 0.7530 0.1340 Rh
0.7530 0.5000 0.6340 Rh
```

---

Calculated XRD peak list
Compound: Tb2MgS4
Radiation: CuKα
Structure: a crystal structure in the Materials Project, relaxed with GGA-PBE
No peak broadening, texture or thermal motion is included.

The 12 most intense peaks (10° ≤ 2θ ≤ 90°), low angle first:
two_theta	d [Å]	I (rel.)
15.3	5.808	22
15.6	5.691	22
19.5	4.557	37
25.1	3.546	100
25.5	3.498	33
28.2	3.163	30
32.4	2.760	67
34.7	2.586	56
43.2	2.096	35
45.2	2.005	25
47.9	1.898	66
54.9	1.673	22

Structure:
```
Tb2MgS4
1.0
12.7021 0.0000 0.0000
0.0000 7.5895 0.0000
0.0000 0.0000 12.8233
Tb Mg S
16 8 32
direct
0.1094 0.1172 0.0000 Tb
0.1277 0.6183 0.3591 Tb
0.1333 0.3713 0.6928 Tb
0.1337 0.8712 0.6939 Tb
0.3663 0.8712 0.1939 Tb
0.3667 0.3713 0.1928 Tb
0.3723 0.6183 0.8591 Tb
0.3906 0.1172 0.5000 Tb
0.6094 0.8828 0.0000 Tb
0.6277 0.3817 0.3591 Tb
0.6333 0.6287 0.6928 Tb
0.6337 0.1288 0.6939 Tb
0.8663 0.1288 0.1939 Tb
0.8667 0.6287 0.1928 Tb
0.8723 0.3817 0.8591 Tb
0.8906 0.8828 0.5000 Tb
0.1103 0.6183 0.9941 Mg
0.1260 0.1215 0.3641 Mg
0.3740 0.1215 0.8641 Mg
0.3897 0.6183 0.4941 Mg
0.6103 0.3817 0.9941 Mg
0.6260 0.8785 0.3641 Mg
0.8740 0.8785 0.8641 Mg
0.8897 0.3817 0.4941 Mg
0.0129 0.1221 0.8076 S
0.0215 0.6277 0.8164 S
0.0326 0.6227 0.5551 S
0.0419 0.1275 0.5480 S
0.2123 0.1208 0.1843 S
0.2127 0.6204 0.1653 S
0.2310 0.3689 0.9082 S
0.2326 0.8717 0.9090 S
0.2674 0.8717 0.4090 S
0.2690 0.3689 0.4082 S
0.2873 0.6204 0.6653 S
0.2877 0.1208 0.6843 S
0.4581 0.1275 0.0480 S
0.4674 0.6227 0.0551 S
0.4785 0.6277 0.3164 S
0.4871 0.1221 0.3076 S
0.5129 0.8779 0.8076 S
0.5215 0.3723 0.8164 S
0.5326 0.3773 0.5551 S
0.5419 0.8725 0.5480 S
0.7123 0.8792 0.1843 S
0.7127 0.3796 0.1653 S
0.7310 0.6311 0.9082 S
0.7326 0.1283 0.9090 S
0.7674 0.1283 0.4090 S
0.7690 0.6311 0.4082 S
0.7873 0.3796 0.6653 S
0.7877 0.8792 0.6843 S
0.9581 0.8725 0.0480 S
0.9674 0.3773 0.0551 S
0.9785 0.3723 0.3164 S
0.9871 0.8779 0.3076 S
```

---

Calculated XRD peak list
Compound: Na3NdB2O6
Radiation: CuKα
Structure: a crystal structure in the Materials Project, relaxed with GGA-PBE
No peak broadening, texture or thermal motion is included.

The 12 most intense peaks (10° ≤ 2θ ≤ 90°), low angle first:
two_theta	d [Å]	I (rel.)
13.2	6.730	73
15.7	5.644	100
18.8	4.712	68
19.9	4.459	55
21.8	4.079	78
24.1	3.691	82
27.8	3.206	43
34.8	2.578	46
34.9	2.567	62
41.9	2.157	39
43.0	2.106	57
48.7	1.871	36

Structure:
```
Na3NdB2O6
1.0
6.6716 0.0000 0.0000
0.0000 8.8816 0.0000
-6.4995 0.0000 10.3120
Na Nd B O
12 4 8 24
direct
0.0813 0.1878 0.1027 Na
0.0813 0.3122 0.6027 Na
0.1115 0.0632 0.3932 Na
0.1115 0.4368 0.8932 Na
0.3192 0.7364 0.8424 Na
0.3192 0.7636 0.3424 Na
0.6808 0.2364 0.6576 Na
0.6808 0.2636 0.1576 Na
0.8885 0.5632 0.1068 Na
0.8885 0.9368 0.6068 Na
0.9187 0.6878 0.3973 Na
0.9187 0.8122 0.8973 Na
0.4868 0.6144 0.6459 Nd
0.4868 0.8856 0.1459 Nd
0.5132 0.1144 0.8541 Nd
0.5132 0.3856 0.3541 Nd
0.0825 0.0988 0.8613 B
0.0825 0.4012 0.3613 B
0.3703 0.5684 0.1256 B
0.3703 0.9316 0.6256 B
0.6297 0.0684 0.3744 B
0.6297 0.4316 0.8744 B
0.9175 0.5988 0.6387 B
0.9175 0.9012 0.1387 B
0.1145 0.6011 0.6303 O
0.1145 0.8989 0.1303 O
0.1221 0.2117 0.7953 O
0.1221 0.2883 0.2953 O
0.2502 0.5183 0.4153 O
0.2502 0.9817 0.9153 O
0.3008 0.0805 0.6170 O
0.3008 0.4195 0.1170 O
0.3219 0.6531 0.0187 O
0.3219 0.8469 0.5187 O
0.4908 0.6365 0.2484 O
0.4908 0.8635 0.7484 O
0.5092 0.1365 0.2516 O
0.5092 0.3635 0.7516 O
0.6781 0.1531 0.4813 O
0.6781 0.3469 0.9813 O
0.6992 0.5805 0.8830 O
0.6992 0.9195 0.3830 O
0.7498 0.0183 0.0847 O
0.7498 0.4817 0.5847 O
0.8779 0.7117 0.7047 O
0.8779 0.7883 0.2047 O
0.8855 0.1011 0.8697 O
0.8855 0.3989 0.3697 O
```

---

Calculated XRD peak list
Compound: Tl2PSe3
Radiation: CuKα
Structure: a crystal structure in the Materials Project, relaxed with GGA-PBE
No peak broadening, texture or thermal motion is included.

The 12 most intense peaks (10° ≤ 2θ ≤ 90°), low angle first:
two_theta	d [Å]	I (rel.)
28.7	3.108	47
28.9	3.087	41
29.0	3.076	100
29.4	3.037	49
30.0	2.982	26
30.4	2.939	41
30.9	2.894	34
31.1	2.874	35
32.0	2.794	39
32.4	2.763	27
32.5	2.755	38
45.7	1.985	29

Structure:
```
Tl2PSe3
1.0
12.6050 0.0000 0.0000
0.0000 9.2162 0.0000
-2.3629 0.0000 12.6247
Tl P Se
16 8 24
direct
0.0229 0.1522 0.3105 Tl
0.0229 0.3478 0.8105 Tl
0.2067 0.5391 0.0493 Tl
0.2067 0.9609 0.5493 Tl
0.3030 0.1799 0.2477 Tl
0.3030 0.3201 0.7477 Tl
0.4003 0.6100 0.5687 Tl
0.4003 0.8900 0.0687 Tl
0.5997 0.1100 0.9313 Tl
0.5997 0.3900 0.4313 Tl
0.6970 0.6799 0.2523 Tl
0.6970 0.8201 0.7523 Tl
0.7933 0.0391 0.4507 Tl
0.7933 0.4609 0.9507 Tl
0.9771 0.6522 0.1895 Tl
0.9771 0.8478 0.6895 Tl
0.0657 0.5789 0.4838 P
0.0657 0.9211 0.9838 P
0.4961 0.0735 0.5715 P
0.4961 0.4265 0.0715 P
0.5039 0.5735 0.9285 P
0.5039 0.9265 0.4285 P
0.9343 0.0789 0.0162 P
0.9343 0.4211 0.5162 P
0.0202 0.2224 0.5833 Se
0.0202 0.2776 0.0833 Se
0.1572 0.0234 0.8736 Se
0.1572 0.4766 0.3736 Se
0.1646 0.6226 0.6434 Se
0.1646 0.8774 0.1434 Se
0.3407 0.6654 0.8776 Se
0.3407 0.8346 0.3776 Se
0.3712 0.2374 0.5110 Se
0.3712 0.2626 0.0110 Se
0.4477 0.5659 0.1958 Se
0.4477 0.9341 0.6958 Se
0.5523 0.0659 0.3042 Se
0.5523 0.4341 0.8042 Se
0.6288 0.7374 0.9890 Se
0.6288 0.7626 0.4890 Se
0.6593 0.1654 0.6224 Se
0.6593 0.3346 0.1224 Se
0.8354 0.1226 0.8566 Se
0.8354 0.3774 0.3566 Se
0.8428 0.5234 0.6264 Se
0.8428 0.9766 0.1264 Se
0.9798 0.7224 0.9167 Se
0.9798 0.7776 0.4167 Se
```

---

Calculated XRD peak list
Compound: LiMg6BO7
Radiation: CuKα
Structure: a crystal structure in the Materials Project, relaxed with GGA-PBE
No peak broadening, texture or thermal motion is included.

The 12 most intense peaks (10° ≤ 2θ ≤ 90°), low angle first:
two_theta	d [Å]	I (rel.)
11.0	8.065	16
23.3	3.810	9
29.2	3.057	11
30.3	2.949	11
36.9	2.436	16
41.8	2.162	100
45.0	2.016	30
54.5	1.683	11
60.6	1.528	28
63.1	1.474	37
73.1	1.295	7
78.5	1.218	18

Structure:
```
LiMg6BO7
1.0
4.3232 0.0000 0.0000
0.0000 4.3232 0.0000
0.0000 0.0000 8.0648
Li Mg B O
1 6 1 7
direct
0.0000 0.0000 0.0000 Li
0.0000 0.5000 0.2495 Mg
0.0000 0.5000 0.7414 Mg
0.5000 0.0000 0.2495 Mg
0.5000 0.0000 0.7414 Mg
0.5000 0.5000 0.4925 Mg
0.5000 0.5000 0.9986 Mg
0.0000 0.0000 0.4966 B
0.0000 0.0000 0.3204 O
0.0000 0.0000 0.6733 O
0.0000 0.5000 0.4953 O
0.0000 0.5000 0.9952 O
0.5000 0.0000 0.4953 O
0.5000 0.0000 0.9952 O
0.5000 0.5000 0.7452 O
```

---

Calculated XRD peak list
Compound: Cs
Radiation: CuKα
Structure: a crystal structure in the Materials Project, relaxed with GGA-PBE
No peak broadening, texture or thermal motion is included.

The 12 most intense peaks (10° ≤ 2θ ≤ 90°), low angle first:
two_theta	d [Å]	I (rel.)
18.1	4.913	33
20.2	4.394	100
22.2	4.011	80
32.9	2.725	29
34.1	2.626	53
36.6	2.456	22
41.1	2.197	16
42.1	2.144	29
50.0	1.825	26
50.9	1.794	17
52.7	1.737	15
57.8	1.594	17

Structure:
```
Cs
1.0
9.8258 0.0000 0.0000
0.0000 9.8258 0.0000
0.0000 0.0000 9.8258
Cs
8
direct
0.0000 0.0000 0.0000 Cs
0.0000 0.2500 0.5000 Cs
0.0000 0.7500 0.5000 Cs
0.2500 0.5000 0.0000 Cs
0.5000 0.0000 0.2500 Cs
0.5000 0.0000 0.7500 Cs
0.5000 0.5000 0.5000 Cs
0.7500 0.5000 0.0000 Cs
```

---

Calculated XRD peak list
Compound: Cu10Sb3
Radiation: CuKα
Structure: a crystal structure in the Materials Project, relaxed with GGA-PBE
No peak broadening, texture or thermal motion is included.

The 12 most intense peaks (10° ≤ 2θ ≤ 90°), low angle first:
two_theta	d [Å]	I (rel.)
27.0	3.298	3
27.3	3.272	4
29.2	3.063	6
37.1	2.420	26
42.0	2.151	24
42.9	2.109	100
57.3	1.608	14
67.0	1.397	15
77.3	1.234	16
79.1	1.210	2
82.3	1.172	17
82.9	1.165	12

Structure:
```
Cu10Sb3
1.0
10.0765 0.0000 0.0000
-5.0383 8.7265 0.0000
0.0000 0.0000 4.3022
Cu Sb
20 6
direct
0.0235 0.4411 0.2500 Cu
0.0508 0.8841 0.7500 Cu
0.1159 0.1667 0.7500 Cu
0.1667 0.0508 0.2500 Cu
0.2087 0.5038 0.7500 Cu
0.2951 0.7913 0.7500 Cu
0.3333 0.6667 0.2500 Cu
0.4176 0.9765 0.2500 Cu
0.4411 0.4176 0.7500 Cu
0.4962 0.7049 0.7500 Cu
0.5038 0.2951 0.2500 Cu
0.5589 0.5824 0.2500 Cu
0.5824 0.0235 0.7500 Cu
0.6667 0.3333 0.7500 Cu
0.7049 0.2087 0.2500 Cu
0.7913 0.4962 0.2500 Cu
0.8333 0.9492 0.7500 Cu
0.8841 0.8333 0.2500 Cu
0.9492 0.1159 0.2500 Cu
0.9765 0.5589 0.7500 Cu
0.1069 0.7444 0.2500 Sb
0.2556 0.3625 0.2500 Sb
0.3625 0.1069 0.7500 Sb
0.6375 0.8931 0.2500 Sb
0.7444 0.6375 0.7500 Sb
0.8931 0.2556 0.7500 Sb
```

---

Calculated XRD peak list
Compound: YAlNi
Radiation: CuKα
Structure: a crystal structure in the Materials Project, relaxed with GGA-PBE
No peak broadening, texture or thermal motion is included.

The 12 most intense peaks (10° ≤ 2θ ≤ 90°), low angle first:
two_theta	d [Å]	I (rel.)
10.3	8.616	27
33.2	2.695	27
34.0	2.639	75
36.8	2.441	59
37.0	2.427	46
39.4	2.285	72
40.1	2.250	100
40.3	2.238	50
41.1	2.195	20
64.0	1.454	23
67.8	1.383	24
71.5	1.320	21

Structure:
```
YAlNi
1.0
8.6158 0.0000 0.0000
0.0000 2.6953 4.5399
0.0000 -2.6953 4.5399
Y Al Ni
4 4 4
direct
0.1820 0.0000 0.0000 Y
0.2932 0.6694 0.6694 Y
0.7068 0.6694 0.6694 Y
0.8180 0.0000 0.0000 Y
0.0000 0.4782 0.4782 Al
0.5000 0.1660 0.1660 Al
0.5000 0.1682 0.6626 Al
0.5000 0.6626 0.1682 Al
0.0000 0.4851 0.9985 Ni
0.0000 0.9985 0.4851 Ni
0.2598 0.3363 0.3363 Ni
0.7402 0.3363 0.3363 Ni
```

---

Calculated XRD peak list
Compound: TbCu2
Radiation: CuKα
Structure: a crystal structure in the Materials Project, relaxed with GGA-PBE
No peak broadening, texture or thermal motion is included.

The 12 most intense peaks (10° ≤ 2θ ≤ 90°), low angle first:
two_theta	d [Å]	I (rel.)
23.9	3.718	21
34.7	2.588	30
35.4	2.533	100
35.7	2.513	42
41.0	2.200	14
41.8	2.159	31
42.6	2.123	45
56.2	1.637	28
58.9	1.569	9
69.1	1.360	16
72.2	1.308	12
76.9	1.240	15

Structure:
```
TbCu2
1.0
-2.1593 3.4610 3.6557
2.1593 -3.4610 3.6557
2.1593 3.4610 -3.6557
Tb Cu
2 4
direct
0.2884 0.0384 0.2500 Tb
0.7116 0.9616 0.7500 Tb
0.1148 0.6652 0.4496 Cu
0.2844 0.3348 0.9496 Cu
0.7156 0.6652 0.0504 Cu
0.8852 0.3348 0.5504 Cu
```